No. 1
MgSi: theoretical PXRD pattern (Cu Kα (λ = 1.5418 Å)), based on a PBE-relaxed structure.

Cell and atoms:
Unit cell a=5.574 b=5.618 c=7.680 alpha=91.36 beta=107.54 gamma=99.16
Space group P-1 (No. 2)
Inequivalent atoms, fractional coordinates:
Mg  0.183  0.272  0.040 [2 per cell]
Mg  0.210  0.612  0.699 [2 per cell]
Mg  0.241  0.858  0.353 [2 per cell]
Si  0.255  0.120  0.676 [2 per cell]
Si  0.311  0.362  0.422 [2 per cell]
Si  0.376  0.820  0.045 [2 per cell]

The 10 most intense peaks (10 to 90 degrees two-theta), sorted by position:
(0 2 -1), 33.78°, rel. 100.0; (-2 1 1), 34.12°, rel. 30.4; (2 0 0), 34.27°, rel. 77.3; (1 0 -3), 35.55°, rel. 68.2; (0 0 3), 36.93°, rel. 55.7; (2 1 -2), 40.92°, rel. 19.2; (2 0 -3), 42.17°, rel. 32.6; (0 2 2), 42.49°, rel. 40.3; (-2 2 2), 45.72°, rel. 49.0; (2 -2 1), 47.43°, rel. 18.1

***

No. 2
LaTb2Ho8: theoretical PXRD pattern (Cu Kα (λ = 1.5418 Å)), based on a PBE-relaxed structure.

Cell and atoms:
Unit cell a=5.484 b=8.132 c=15.973 alpha=90.00 beta=90.00 gamma=90.00
Space group Immm (No. 71)
Inequivalent atoms, fractional coordinates:
La  0.000  0.000  0.000 [2 per cell]
Tb  0.000  0.000  0.301 [4 per cell]
Ho  0.000  0.204  0.500 [4 per cell]
Ho  0.000  0.294  0.141 [8 per cell]
Ho  0.000  0.500  0.337 [4 per cell]

The 10 most intense peaks (10 to 90 degrees two-theta), sorted by position:
(1 1 4), 29.78°, rel. 24.9; (1 2 3), 32.15°, rel. 100.0; (1 0 5), 32.43°, rel. 14.5; (2 0 0), 32.66°, rel. 33.5; (0 3 1), 33.53°, rel. 11.6; (0 0 6), 33.67°, rel. 16.1; (2 0 6), 47.56°, rel. 21.1; (3 2 3), 57.96°, rel. 18.8; (2 3 7), 63.14°, rel. 11.4; (1 5 4), 64.11°, rel. 11.0

***

No. 3
La3Ga2Co2: theoretical PXRD pattern (Cu Kα (λ = 1.5418 Å)), based on a PBE-relaxed structure.

Cell and atoms:
Unit cell a=4.237 b=4.418 c=17.865 alpha=90.00 beta=90.00 gamma=90.00
Space group Immm (No. 71)
Inequivalent atoms, fractional coordinates:
La  0.000  0.000  0.000 [2 per cell]
La  0.000  0.500  0.174 [4 per cell]
Ga  0.000  0.500  0.368 [4 per cell]
Co  0.000  0.000  0.436 [4 per cell]

The 10 most intense peaks (10 to 90 degrees two-theta), sorted by position:
(0 1 3), 25.10°, rel. 32.7; (0 0 6), 30.01°, rel. 20.5; (1 1 2), 30.91°, rel. 100.0; (1 0 5), 32.79°, rel. 57.1; (1 1 4), 35.58°, rel. 59.1; (0 2 0), 40.85°, rel. 51.1; (2 0 0), 42.68°, rel. 30.5; (0 1 9), 50.40°, rel. 24.4; (1 2 5), 53.34°, rel. 28.2; (2 2 0), 60.55°, rel. 30.9

***

No. 4
AcY4: theoretical PXRD pattern (Cu Kα (λ = 1.5418 Å)), based on a PBE-relaxed structure.

Cell and atoms:
Unit cell a=3.622 b=5.762 c=16.659 alpha=90.00 beta=90.00 gamma=90.00
Space group Immm (No. 71)
Inequivalent atoms, fractional coordinates:
Ac  0.000  0.000  0.000 [2 per cell]
Y  0.000  0.000  0.399 [4 per cell]
Y  0.000  0.500  0.285 [4 per cell]

The 10 most intense peaks (10 to 90 degrees two-theta), sorted by position:
(0 1 3), 22.23°, rel. 7.4; (1 0 3), 29.44°, rel. 20.2; (0 2 0), 31.04°, rel. 100.0; (1 2 3), 43.31°, rel. 14.1; (1 0 7), 45.61°, rel. 7.9; (0 3 5), 55.18°, rel. 9.9; (1 3 2), 55.25°, rel. 9.4; (1 2 7), 56.20°, rel. 8.5; (2 2 0), 60.36°, rel. 16.5; (2 3 5), 77.96°, rel. 7.1

***

Please write out number 4 again, unchanged.
AcY4: theoretical PXRD pattern (Cu Kα (λ = 1.5418 Å)), based on a PBE-relaxed structure.

Cell and atoms:
Unit cell a=3.622 b=5.762 c=16.659 alpha=90.00 beta=90.00 gamma=90.00
Space group Immm (No. 71)
Inequivalent atoms, fractional coordinates:
Ac  0.000  0.000  0.000 [2 per cell]
Y  0.000  0.000  0.399 [4 per cell]
Y  0.000  0.500  0.285 [4 per cell]

The 10 most intense peaks (10 to 90 degrees two-theta), sorted by position:
(0 1 3), 22.23°, rel. 7.4; (1 0 3), 29.44°, rel. 20.2; (0 2 0), 31.04°, rel. 100.0; (1 2 3), 43.31°, rel. 14.1; (1 0 7), 45.61°, rel. 7.9; (0 3 5), 55.18°, rel. 9.9; (1 3 2), 55.25°, rel. 9.4; (1 2 7), 56.20°, rel. 8.5; (2 2 0), 60.36°, rel. 16.5; (2 3 5), 77.96°, rel. 7.1